# 1
# NaSn4P3O12
Calculated powder X-ray diffraction pattern, λ = 1.5418 Å (Cu Kα). Input: a structure optimized by DFT (PBE).

abc: 9.8688 9.8688 24.8772
angles: 90.00 90.00 120.00
Space group R3c (No. 161, hexagonal axes)
Inequivalent atoms, fractional coordinates:
Na1 0.0000 0.0000 0.0000
Sn1 0.0000 0.0000 0.3493
Sn2 0.0661 0.2674 0.2179
P1 0.1187 0.3403 0.0908
O1 0.0132 0.1778 0.4012
O2 0.0766 0.4911 0.2181
O3 0.0955 0.3690 0.7671
O4 0.1629 0.3666 0.6460

Largest 6 diffraction maxima, most intense first, 2θ = 5–70°:
2θ = 22.0°, d 4.041, intensity 100; 2θ = 21.4°, d 4.146, intensity 39; 2θ = 27.9°, d 3.203, intensity 39; 2θ = 31.2°, d 2.867, intensity 28; 2θ = 28.1°, d 3.174, intensity 26; 2θ = 20.9°, d 4.240, intensity 24

# 2
# NaSrPO4
Calculated powder X-ray diffraction pattern, λ = 1.5418 Å (Cu Kα). Input: a structure optimized by DFT (PBE).

abc: 7.1468 5.5082 9.7965
angles: 90.00 90.00 90.00
Space group Pnma (No. 62)
Inequivalent atoms, fractional coordinates:
Na1 0.1721 0.2500 0.0561
Sr1 0.0010 0.2500 0.6996
P1 0.2247 0.2500 0.4185
O1 0.0078 0.2500 0.4287
O2 0.1871 0.7500 0.0651
O3 0.2091 0.5177 0.8426

Largest 6 diffraction maxima, most intense first, 2θ = 5–70°:
2θ = 31.2°, d 2.867, intensity 100; 2θ = 18.5°, d 4.801, intensity 62; 2θ = 31.9°, d 2.809, intensity 59; 2θ = 32.5°, d 2.754, intensity 53; 2θ = 42.3°, d 2.136, intensity 51; 2θ = 45.5°, d 1.993, intensity 51